# 1
Na3Tl4Pd4: theoretical X-ray diffraction stick pattern (a wavelength of 1.5418 Å), based on a DFT-relaxed cell (PBE, Alexandria).
Kinematic intensities with the Lorentz-polarization factor, no thermal factor.

Peak list (10 most intense, 2θ = 10–90°, by intensity)
| 2theta | I (rel.) |
| --- | --- |
| 42.55 | 100.0 |
| 31.69 | 90.2 |
| 21.88 | 56.9 |
| 45.34 | 51.5 |
| 38.34 | 47.0 |
| 26.95 | 44.1 |
| 43.74 | 41.8 |
| 20.43 | 36.4 |
| 19.28 | 34.0 |
| 24.46 | 30.0 |

Atomic structure:
```
Na3Tl4Pd4
1.0
7.4609 -3.7148 0.0000
7.4609 3.7148 0.0000
-1.0383 0.0000 4.6030
Na Tl Pd
3 4 4
Cartesian
0.0000 0.0000 0.0000
4.5760 0.0000 4.0053
9.3075 0.0000 0.5977
2.8908 0.0000 1.1966
6.9418 1.6075 2.3015
6.9418 -1.6075 2.3015
10.9927 0.0000 3.4065
4.5167 2.2823 1.2242
9.3668 2.2823 3.3788
4.5167 -2.2823 1.2242
9.3668 -2.2823 3.3788
```



# 2
Na5Tl6Pd5: theoretical X-ray diffraction stick pattern (a wavelength of 1.5418 Å), based on a DFT-relaxed cell (PBE, Alexandria).
Kinematic intensities with the Lorentz-polarization factor, no thermal factor.

Peak list (10 most intense, 2θ = 10–90°, by intensity)
| 2theta | I (rel.) |
| --- | --- |
| 11.86 | 100.0 |
| 26.26 | 67.7 |
| 38.01 | 54.4 |
| 39.70 | 49.0 |
| 35.21 | 43.1 |
| 36.31 | 37.7 |
| 37.61 | 37.1 |
| 25.70 | 36.7 |
| 35.90 | 35.5 |
| 12.25 | 31.8 |

Atomic structure:
```
Na5Tl6Pd5
1.0
5.7220 0.0000 0.0000
0.0000 7.2266 4.3557
0.0000 -7.2266 4.3557
Na Tl Pd
5 6 5
Cartesian
0.0000 0.0000 0.0000
0.0000 -1.5754 3.2165
0.0000 1.5754 3.2165
2.8610 -1.6765 1.3329
2.8610 1.6765 1.3329
0.0000 -4.1334 5.0139
0.0000 0.0000 5.6971
0.0000 4.1334 5.0139
2.8610 -2.7168 4.3387
2.8610 2.7168 4.3387
2.8610 0.0000 7.0796
1.4346 -2.5435 6.9638
1.4346 2.5435 6.9638
2.8610 0.0000 4.0503
4.2873 -2.5435 6.9638
4.2873 2.5435 6.9638
```



# 3
Na4Tl3Pd: theoretical X-ray diffraction stick pattern (a wavelength of 1.5418 Å), based on a DFT-relaxed cell (PBE, Alexandria).
Kinematic intensities with the Lorentz-polarization factor, no thermal factor.

Peak list (10 most intense, 2θ = 10–90°, by intensity)
| 2theta | I (rel.) |
| --- | --- |
| 18.38 | 100.0 |
| 35.83 | 79.0 |
| 34.13 | 53.9 |
| 29.00 | 53.1 |
| 46.23 | 42.5 |
| 28.76 | 37.0 |
| 39.11 | 35.3 |
| 19.50 | 33.0 |
| 21.36 | 27.1 |
| 43.52 | 22.6 |

Atomic structure:
```
Na4Tl3Pd
1.0
14.5684 -2.3043 0.0000
14.5684 2.3043 0.0000
-0.3613 0.0000 3.2583
Na Tl Pd
4 3 1
Cartesian
2.5094 0.0000 0.2737
6.1646 0.0000 0.6925
22.6110 0.0000 2.5657
26.2661 0.0000 2.9845
9.9699 0.0000 1.1381
14.5684 0.0000 0.0000
18.8057 0.0000 2.1202
-0.1806 0.0000 1.6291
```